Entry 1:
This entry pairs a crystal structure of CaPu3Tl4 with its calculated powder X-ray diffraction pattern. Radiation: Cu Ka. Structure: a cell relaxed with PBE.

Atomic structure:
```
CaPu3Tl4
1.0
-3.859 3.859 3.859
3.859 -3.859 3.859
3.859 3.859 -3.859
Ca Pu Tl
1 3 4
direct
0.000 0.000 0.000
0.000 0.500 0.500
0.500 0.000 0.500
0.500 0.500 0.000
0.000 0.000 0.500
0.000 0.500 0.000
0.500 0.000 0.000
0.500 0.500 0.500
```

Largest 8 diffraction maxima, sorted by position, 10° ≤ 2θ ≤ 90°:
Position (°2θ), d (Å), I (rel.)
16.24, 5.458, 8
28.32, 3.151, 4
32.82, 2.729, 100
47.10, 1.930, 19
58.59, 1.575, 39
68.81, 1.364, 12
78.35, 1.220, 17
87.58, 1.114, 4

---

Entry 2:
This entry pairs a crystal structure of CaPu3Tl12 with its calculated powder X-ray diffraction pattern. Radiation: Cu Ka. Structure: a cell relaxed with PBE.

Atomic structure:
```
CaPu3Tl12
1.0
4.823 0.000 0.000
0.000 4.823 0.000
0.000 0.000 19.176
Ca Pu Tl
1 3 12
direct
0.000 0.000 0.000
0.000 0.000 0.251
0.000 0.000 0.500
0.000 0.000 0.749
0.000 0.500 0.127
0.000 0.500 0.375
0.000 0.500 0.625
0.000 0.500 0.873
0.500 0.000 0.127
0.500 0.000 0.375
0.500 0.000 0.625
0.500 0.000 0.873
0.500 0.500 0.000
0.500 0.500 0.252
0.500 0.500 0.500
0.500 0.500 0.748
```

Largest 8 diffraction maxima, sorted by position, 10° ≤ 2θ ≤ 90°:
Position (°2θ), d (Å), I (rel.)
32.21, 2.779, 100
37.29, 2.412, 34
37.52, 2.397, 17
53.93, 1.700, 24
64.07, 1.453, 29
64.38, 1.447, 14
67.40, 1.389, 12
88.65, 1.103, 12

---

Entry 3:
This entry pairs a crystal structure of Ca2PuZn with its calculated powder X-ray diffraction pattern. Radiation: Cu Ka. Structure: a cell relaxed with PBE.

Atomic structure:
```
Ca2PuZn
1.0
1.769 1.021 11.568
-1.769 1.021 11.568
0.000 -2.043 11.568
Ca Pu Zn
2 1 1
direct
0.099 0.099 0.099
0.901 0.901 0.901
0.000 0.000 0.000
0.500 0.500 0.500
```

Largest 8 diffraction maxima, sorted by position, 10° ≤ 2θ ≤ 90°:
Position (°2θ), d (Å), I (rel.)
15.32, 5.784, 74
29.26, 3.053, 50
29.60, 3.018, 100
30.94, 2.891, 76
35.88, 2.503, 58
39.22, 2.297, 65
51.65, 1.770, 40
61.43, 1.509, 50

---

Entry 4:
This entry pairs a crystal structure of RbCa with its calculated powder X-ray diffraction pattern. Radiation: Cu Ka. Structure: a cell relaxed with PBE.

Atomic structure:
```
RbCa
1.0
4.263 0.000 0.000
2.112 3.710 0.000
1.950 1.071 14.928
Rb Ca
2 2
direct
0.222 0.230 0.353
0.778 0.770 0.647
0.364 0.361 0.899
0.636 0.639 0.101
```

Largest 8 diffraction maxima, sorted by position, 10° ≤ 2θ ≤ 90°:
Position (°2θ), d (Å), I (rel.)
17.83, 4.976, 45
23.84, 3.732, 61
24.38, 3.651, 100
26.04, 3.423, 75
26.10, 3.414, 43
27.66, 3.225, 55
27.77, 3.212, 55
28.12, 3.173, 52

---

Entry 5:
This entry pairs a crystal structure of RbCa3Rh with its calculated powder X-ray diffraction pattern. Radiation: Cu Ka. Structure: a cell relaxed with PBE.

Atomic structure:
```
RbCa3Rh
1.0
6.835 -8.053 0.000
6.835 8.053 0.000
-0.362 0.000 7.574
Rb Ca Rh
4 12 4
direct
0.049 0.210 0.118
0.210 0.049 0.618
0.790 0.951 0.382
0.951 0.790 0.882
0.092 0.655 0.361
0.243 0.563 0.919
0.309 0.430 0.467
0.345 0.908 0.139
0.430 0.309 0.967
0.437 0.757 0.581
0.563 0.243 0.419
0.570 0.691 0.033
0.655 0.092 0.861
0.691 0.570 0.533
0.757 0.437 0.081
0.908 0.345 0.639
0.342 0.658 0.250
0.479 0.521 0.750
0.521 0.479 0.250
0.658 0.342 0.750
```

Largest 8 diffraction maxima, sorted by position, 10° ≤ 2θ ≤ 90°:
Position (°2θ), d (Å), I (rel.)
12.97, 6.828, 90
20.27, 4.380, 60
21.48, 4.137, 49
27.47, 3.246, 95
28.04, 3.183, 100
30.49, 2.932, 33
36.06, 2.490, 32
39.72, 2.269, 34

---

Entry 6:
This entry pairs a crystal structure of RbCa3Rh with its calculated powder X-ray diffraction pattern. Radiation: Cu Ka. Structure: a cell relaxed with PBE.

Atomic structure:
```
RbCa3Rh
1.0
9.253 0.000 0.000
0.000 4.171 0.000
-0.016 0.000 10.744
Rb Ca Rh
2 6 2
direct
0.000 0.000 0.000
0.500 0.500 0.103
0.158 0.500 0.665
0.290 0.000 0.430
0.471 0.000 0.738
0.658 0.000 0.438
0.791 0.500 0.673
0.971 0.500 0.364
0.472 0.500 0.557
0.972 0.000 0.546
```

Largest 8 diffraction maxima, sorted by position, 10° ≤ 2θ ≤ 90°:
Position (°2θ), d (Å), I (rel.)
16.50, 5.372, 56
19.17, 4.630, 62
23.40, 3.802, 27
25.41, 3.506, 32
28.77, 3.104, 100
36.22, 2.480, 33
40.05, 2.252, 42
41.15, 2.194, 24

---

Entry 7:
This entry pairs a crystal structure of RbCa3Rh with its calculated powder X-ray diffraction pattern. Radiation: Cu Ka. Structure: a cell relaxed with PBE.

Atomic structure:
```
RbCa3Rh
1.0
0.000 7.688 7.688
7.688 0.000 7.688
7.688 7.688 0.000
Rb Ca Rh
4 12 4
direct
0.000 0.000 0.000
0.000 0.000 0.500
0.000 0.500 0.000
0.500 0.000 0.000
0.200 0.200 0.550
0.200 0.550 0.200
0.200 0.550 0.550
0.450 0.450 0.800
0.450 0.800 0.450
0.450 0.800 0.800
0.550 0.200 0.200
0.550 0.200 0.550
0.550 0.550 0.200
0.800 0.450 0.450
0.800 0.450 0.800
0.800 0.800 0.450
0.000 0.500 0.500
0.500 0.000 0.500
0.500 0.500 0.000
0.500 0.500 0.500
```

Largest 8 diffraction maxima, sorted by position, 10° ≤ 2θ ≤ 90°:
Position (°2θ), d (Å), I (rel.)
20.00, 4.439, 100
23.14, 3.844, 20
32.95, 2.718, 49
38.85, 2.318, 53
40.65, 2.219, 23
51.84, 1.764, 23
53.29, 1.719, 22
62.80, 1.480, 17

---

Entry 8:
This entry pairs a crystal structure of RbCa3Rh with its calculated powder X-ray diffraction pattern. Radiation: Cu Ka. Structure: a cell relaxed with PBE.

Atomic structure:
```
RbCa3Rh
1.0
3.970 2.292 7.110
-3.970 2.292 7.110
0.000 -4.584 7.110
Rb Ca Rh
2 6 2
direct
0.083 0.083 0.083
0.917 0.917 0.917
0.085 0.579 0.579
0.421 0.421 0.915
0.421 0.915 0.421
0.579 0.085 0.579
0.579 0.579 0.085
0.915 0.421 0.421
0.332 0.332 0.332
0.668 0.668 0.668
```

Largest 8 diffraction maxima, sorted by position, 10° ≤ 2θ ≤ 90°:
Position (°2θ), d (Å), I (rel.)
12.45, 7.110, 71
22.40, 3.970, 100
25.70, 3.466, 69
26.26, 3.394, 56
30.95, 2.890, 45
33.47, 2.677, 90
39.52, 2.280, 55
45.71, 1.985, 65

---

Repeat the seventh record exactly.
This entry pairs a crystal structure of RbCa3Rh with its calculated powder X-ray diffraction pattern. Radiation: Cu Ka. Structure: a cell relaxed with PBE.

Atomic structure:
```
RbCa3Rh
1.0
0.000 7.688 7.688
7.688 0.000 7.688
7.688 7.688 0.000
Rb Ca Rh
4 12 4
direct
0.000 0.000 0.000
0.000 0.000 0.500
0.000 0.500 0.000
0.500 0.000 0.000
0.200 0.200 0.550
0.200 0.550 0.200
0.200 0.550 0.550
0.450 0.450 0.800
0.450 0.800 0.450
0.450 0.800 0.800
0.550 0.200 0.200
0.550 0.200 0.550
0.550 0.550 0.200
0.800 0.450 0.450
0.800 0.450 0.800
0.800 0.800 0.450
0.000 0.500 0.500
0.500 0.000 0.500
0.500 0.500 0.000
0.500 0.500 0.500
```

Largest 8 diffraction maxima, sorted by position, 10° ≤ 2θ ≤ 90°:
Position (°2θ), d (Å), I (rel.)
20.00, 4.439, 100
23.14, 3.844, 20
32.95, 2.718, 49
38.85, 2.318, 53
40.65, 2.219, 23
51.84, 1.764, 23
53.29, 1.719, 22
62.80, 1.480, 17

---

Please write out number 4 again, unchanged.
This entry pairs a crystal structure of RbCa with its calculated powder X-ray diffraction pattern. Radiation: Cu Ka. Structure: a cell relaxed with PBE.

Atomic structure:
```
RbCa
1.0
4.263 0.000 0.000
2.112 3.710 0.000
1.950 1.071 14.928
Rb Ca
2 2
direct
0.222 0.230 0.353
0.778 0.770 0.647
0.364 0.361 0.899
0.636 0.639 0.101
```

Largest 8 diffraction maxima, sorted by position, 10° ≤ 2θ ≤ 90°:
Position (°2θ), d (Å), I (rel.)
17.83, 4.976, 45
23.84, 3.732, 61
24.38, 3.651, 100
26.04, 3.423, 75
26.10, 3.414, 43
27.66, 3.225, 55
27.77, 3.212, 55
28.12, 3.173, 52

---

Question: Which formula does entry 4 have?
Answer: RbCa